Diffraction record for TbCrTeO6. The powder XRD pattern is theoretical, not measured: it uses the PBE+U geometry in Alexandria and Cu Kα (weighted mean of Kα1 and Kα2).
Lines closer than 0.1° are merged.

Atomic structure:
```
data_TbCrTeO6
_chemical_formula_sum 'Tb2 Cr2 Te2 O12'
_symmetry_space_group_name_H-M 'P -3 1 c'
_symmetry_Int_Tables_number 163
_symmetry_space_group_name_Hall '-P 3 2c'
_cell_length_a 5.1938
_cell_length_b 5.1938
_cell_length_c 9.8619
_cell_angle_alpha 90.00
_cell_angle_beta 90.00
_cell_angle_gamma 120.00
loop_
_atom_site_label
_atom_site_type_symbol
_atom_site_fract_x
_atom_site_fract_y
_atom_site_fract_z
_atom_site_occupancy
Tb1 Tb 0.0000 0.0000 0.0000 1
Cr1 Cr 0.3333 0.6667 0.2500 1
Te1 Te 0.3333 0.6667 0.7500 1
O1 O 0.0098 0.3658 0.8600 1
```

The 8 most intense peaks (10 to 90 degrees two-theta), most intense first:
3.323 Å, 26.83°, I = 100; 1.788 Å, 51.08°, I = 38; 2.597 Å, 34.54°, I = 34; 2.046 Å, 44.27°, I = 24; 1.607 Å, 57.33°, I = 23; 1.499 Å, 61.89°, I = 12; 4.092 Å, 21.72°, I = 11; 1.544 Å, 59.92°, I = 10